Calculated powder X-ray diffraction pattern
Compound: Mn4CdS5
Radiation: copper Kα
Structure: a crystal structure in the Materials Project, relaxed with PBE
Kinematic intensities with the Lorentz-polarization factor, no thermal factor.

Top 12 peaks for 15 to 90 degrees two-theta, in order of falling intensity:
2θ 34.29, intensity 100
2θ 49.37, intensity 33
2θ 49.19, intensity 32
2θ 29.62, intensity 17
2θ 61.49, intensity 16
2θ 82.62, intensity 14
2θ 82.35, intensity 12
2θ 72.26, intensity 9
2θ 58.58, intensity 8
2θ 29.48, intensity 6
2θ 61.18, intensity 5
2θ 31.18, intensity 3

abc: 15.298 15.298 15.298
angles: 13.86 13.86 13.86
Fractional positions:
Mn 0.098 0.098 0.098
Mn 0.300 0.300 0.300
Mn 0.700 0.700 0.700
Mn 0.902 0.902 0.902
Cd 0.500 0.500 0.500
S 0.000 0.000 0.000
S 0.204 0.204 0.204
S 0.399 0.399 0.399
S 0.601 0.601 0.601
S 0.796 0.796 0.796